Simulated powder XRD pattern of MnNbRu2 for a wavelength of 1.5418 Å, from a crystal structure in the Materials Project, relaxed with PBE.

Principal peaks in the range 2θ = 15–90°, by angle:
d_spacing	2θ (°)	Rel. int.
3.591	24.79	3
3.110	28.71	3
2.199	41.05	100
1.875	48.55	2
1.555	59.44	16
1.391	67.33	1
1.270	74.78	32
1.099	89.04	10

Atomic structure:
Cell: 4.3980 4.3980 4.3980 Å, 60.00 60.00 60.00°
Sites, in units of the cell vectors:
1 Mn 0.0000 0.0000 0.0000
2 Nb 0.5000 0.5000 0.5000
3 Ru 0.2500 0.2500 0.2500
4 Ru 0.7500 0.7500 0.7500